# 1
This entry pairs a crystal structure of Tb2SbO2 with its theoretical XRD peak list. Radiation: Cu Ka. Structure: a cell relaxed with PBE.

Principal peaks in the range 2θ from 10° to 90°, by intensity:
h k l  2θ (°)  I/Imax
1 0 3  30.5  100
1 1 0  32.7  36
2 1 3  57.0  34
1 1 6  52.9  24
2 0 0  46.9  17
2 0 6  63.5  11
2 1 9  86.0  11
1 0 9  67.3  10
0 0 6  40.4  10
3 0 3  76.8  7

Cell lengths 3.8769, 3.8769, 13.4083 Å; angles 90.00, 90.00, 90.00 degrees
Fractional coordinates of all 10 atoms:
Tb 0.0000 0.0000 0.1656
Tb 0.0000 0.0000 0.8344
Tb 0.5000 0.5000 0.3344
Tb 0.5000 0.5000 0.6656
Sb 0.0000 0.0000 0.5000
Sb 0.5000 0.5000 0.0000
O 0.0000 0.5000 0.2500
O 0.0000 0.5000 0.7500
O 0.5000 0.0000 0.2500
O 0.5000 0.0000 0.7500

# 2
This entry pairs a crystal structure of Fe2GeSe4 with its theoretical XRD peak list. Radiation: Cu Ka. Structure: a cell relaxed with PBE.

Principal peaks in the range 2θ from 10° to 90°, by intensity:
h k l  2θ (°)  I/Imax
2 2 1  31.7  100
6 2 0  50.2  56
4 0 1  32.0  47
2 2 2  40.8  46
0 4 0  49.7  32
4 0 0  28.5  28
2 2 3  53.0  26
4 0 2  41.0  20
1 2 1  29.2  18
3 2 2  44.0  18

Cell lengths 12.5581, 7.3441, 6.1831 Å; angles 90.00, 90.00, 90.00 degrees
Fractional coordinates of all 28 atoms:
Fe 0.0000 0.0000 0.0000
Fe 0.0000 0.5000 0.0000
Fe 0.2272 0.2500 0.4980
Fe 0.2728 0.7500 0.9980
Fe 0.5000 0.0000 0.5000
Fe 0.5000 0.5000 0.5000
Fe 0.7272 0.2500 0.0020
Fe 0.7728 0.7500 0.5020
Ge 0.0898 0.7500 0.5707
Ge 0.4102 0.2500 0.0707
Ge 0.5898 0.7500 0.9293
Ge 0.9102 0.2500 0.4293
Se 0.0769 0.2500 0.2220
Se 0.0888 0.7500 0.1657
Se 0.1633 0.0082 0.7715
Se 0.1633 0.4918 0.7715
Se 0.3367 0.5082 0.2715
Se 0.3367 0.9918 0.2715
Se 0.4112 0.2500 0.6657
Se 0.4231 0.7500 0.7220
Se 0.5769 0.2500 0.2780
Se 0.5888 0.7500 0.3343
Se 0.6633 0.0082 0.7285
Se 0.6633 0.4918 0.7285
Se 0.8367 0.5082 0.2285
Se 0.8367 0.9918 0.2285
Se 0.9112 0.2500 0.8343
Se 0.9231 0.7500 0.7780

# 3
This entry pairs a crystal structure of Dy5Rh3 with its theoretical XRD peak list. Radiation: Cu Ka. Structure: a cell relaxed with PBE.

Principal peaks in the range 2θ from 10° to 90°, by intensity:
h k l  2θ (°)  I/Imax
1 1 2  35.9  100
2 1 1  36.0  96
3 0 0  37.6  56
2 1 0  33.0  32
2 1 3  55.4  28
2 2 2  52.9  23
1 0 2  31.1  23
4 0 2  59.3  18
0 0 2  28.4  18
3 0 4  71.9  16

Cell lengths 8.2923, 8.2923, 6.2812 Å; angles 90.00, 90.00, 120.00 degrees
Fractional coordinates of all 16 atoms:
Dy 0.0000 0.2554 0.2500
Dy 0.0000 0.7446 0.7500
Dy 0.2554 0.0000 0.2500
Dy 0.2554 0.2554 0.7500
Dy 0.3333 0.6667 0.0000
Dy 0.3333 0.6667 0.5000
Dy 0.6667 0.3333 0.0000
Dy 0.6667 0.3333 0.5000
Dy 0.7446 0.0000 0.7500
Dy 0.7446 0.7446 0.2500
Rh 0.0000 0.3928 0.7500
Rh 0.0000 0.6072 0.2500
Rh 0.3928 0.0000 0.7500
Rh 0.3928 0.3928 0.2500
Rh 0.6072 0.0000 0.2500
Rh 0.6072 0.6072 0.7500

Q: Number 1 is which compound?
A: Tb2SbO2